[1]
Theoretical X-ray powder pattern
Compound: SiO2
Radiation: CuKα
Structure: a structure optimized by DFT (PBE)
No peak broadening, texture or thermal motion is included.

Largest 10 diffraction maxima, low angle first, 2θ from 10° to 90°:
2θ = 23.99°, d = 3.710 Å, I = 100, hkl 1 0 0
2θ = 24.38°, d = 3.651 Å, I = 46, hkl 0 1 1
2θ = 25.01°, d = 3.561 Å, I = 81, hkl 0 0 2
2θ = 29.53°, d = 3.024 Å, I = 52, hkl 1 1 -1
2θ = 32.02°, d = 2.795 Å, I = 34, hkl 1 1 0
2θ = 32.29°, d = 2.772 Å, I = 92, hkl 1 1 -2
2θ = 32.81°, d = 2.730 Å, I = 39, hkl 0 1 2
2θ = 38.85°, d = 2.318 Å, I = 51, hkl 1 1 1
2θ = 39.30°, d = 2.292 Å, I = 30, hkl 1 1 -3
2θ = 49.01°, d = 1.859 Å, I = 29, hkl 1 1 -4

Crystal structure
```
data_SiO2
_cell_length_a 4.3037
_cell_length_b 4.2518
_cell_length_c 8.2618
_cell_angle_alpha 90.00
_cell_angle_beta 120.46
_cell_angle_gamma 90.00
_symmetry_space_group_name_H-M 'P 1 c 1'
_symmetry_Int_Tables_number 7
loop_
_symmetry_equiv_pos_as_xyz
'x,y,z'
'x,-y,z+1/2'
loop_
_atom_site_label
_atom_site_type_symbol
_atom_site_fract_x
_atom_site_fract_y
_atom_site_fract_z
Si1 Si 0.0000 0.0474 0.0000
Si2 Si 0.7152 0.3622 0.6250
O1 O 0.0252 0.2523 0.8408
O2 O 0.3549 0.1919 0.6129
O3 O 0.6819 0.2155 0.4310
O4 O 0.8773 0.2846 0.1210
```


[2]
Theoretical X-ray powder pattern
Compound: ScHO2
Radiation: CuKα
Structure: a structure optimized by DFT (PBE)
No peak broadening, texture or thermal motion is included.

Largest 10 diffraction maxima, low angle first, 2θ from 10° to 90°:
2θ = 19.59°, d = 4.531 Å, I = 92, hkl 0 0 3
2θ = 34.65°, d = 2.589 Å, I = 100, hkl 0 1 2
2θ = 41.80°, d = 2.161 Å, I = 10, hkl 1 0 4
2θ = 46.56°, d = 1.950 Å, I = 59, hkl 0 1 5
2θ = 56.96°, d = 1.617 Å, I = 32, hkl 1 1 0
2θ = 57.78°, d = 1.596 Å, I = 22, hkl 1 0 7
2θ = 60.84°, d = 1.523 Å, I = 20, hkl 1 1 3
2θ = 68.42°, d = 1.371 Å, I = 10, hkl 2 0 2
2θ = 76.54°, d = 1.245 Å, I = 10, hkl 2 0 5
2θ = 78.17°, d = 1.223 Å, I = 9, hkl 1 0 10

Crystal structure
```
data_ScHO2
_cell_length_a 3.2332
_cell_length_b 3.2332
_cell_length_c 13.5928
_cell_angle_alpha 90.00
_cell_angle_beta 90.00
_cell_angle_gamma 120.00
_symmetry_space_group_name_H-M 'R -3 m'
_symmetry_Int_Tables_number 166
_symmetry_space_group_name_Hall '-R 3 2"'
loop_
_atom_site_label
_atom_site_type_symbol
_atom_site_fract_x
_atom_site_fract_y
_atom_site_fract_z
Sc1 Sc 0.0000 0.0000 0.0000
H1 H 0.0000 0.0000 0.5000
O1 O 0.0000 0.0000 0.4103
```